Computed powder diffraction line list of Mn2ZnO4 for Cu Kα (weighted mean of Kα1 and Kα2), from a crystal structure in the Materials Project, relaxed with PBE+U.
No peak broadening, texture or thermal motion is included.

Peak list (10 most intense, 10° ≤ 2θ ≤ 80°, by angle)
2theta  d/Å  I/Imax
17.83  4.975  27
29.15  3.063  25
29.66  3.012  13
33.94  2.641  51
34.81  2.577  100
36.12  2.487  19
42.43  2.130  24
54.21  1.692  16
56.01  1.642  31
60.44  1.532  45

Structural model:
```
Mn2ZnO4
1.0
-3.0101 3.0154 4.4077
3.0101 -3.0154 4.4077
3.0101 3.0154 -4.4077
Mn Zn O
4 2 8
direct
0.0000 0.0000 0.5000
0.0000 0.5000 0.0000
0.3618 0.1118 0.2500
0.6382 0.8882 0.7500
0.0000 0.5000 0.5000
0.5000 0.5000 0.0000
0.2171 0.2481 0.9690
0.2209 0.2369 0.5160
0.2209 0.7049 0.9840
0.2209 0.7519 0.4690
0.7791 0.2481 0.5310
0.7791 0.2951 0.0160
0.7791 0.7631 0.4840
0.7829 0.7519 0.0310
```